Starting from DFT lattice parameters and positions (GGA-PBE), the X-ray powder pattern of Mg3HgAu2 was simulated for Cu Kα (λ = 1.5418 Å).
Neutral-atom scattering factors, no anomalous dispersion.

Principal peaks in the range 2θ from 10° to 80°, low angle first:
hkl  2θ (°)  I (rel.)
1 0 0  26.04  79
0 0 3  27.39  35
1 1 0  37.15  54
1 0 3  38.15  100
1 1 3  46.77  34
2 0 0  53.56  19
2 1 0  60.49  16
2 0 3  61.19  16
2 1 3  67.64  38
1 1 6  69.60  17

a b c (Å): 3.422 3.422 9.769
angles (deg): 90.00 90.00 90.00
Space group P4/mmm (No. 123)
One atom of each set of equivalent atoms:
Mg 0.000 0.000 0.000 x1
Mg 0.000 0.000 0.319 x2
Hg 0.500 0.500 0.500 x1
Au 0.500 0.500 0.161 x2